The following is a calculated powder diffractogram of NaCr6O11. It was derived from the PBE+U geometry in Alexandria, using Cu Kα (weighted mean of Kα1 and Kα2).
Kinematic intensities with the Lorentz-polarization factor, no thermal factor.

Main lines, low angle first (2θ from 10° to 80°):
two_theta, d (Å), Rel. int.
32.7, 2.736, 100
33.7, 2.660, 71
38.2, 2.354, 60
55.8, 1.647, 95
55.9, 1.644, 35
63.8, 1.458, 35

Atomic structure:
```
data_NaCr6O11
_chemical_formula_sum 'Na4 Cr24 O44'
_cell_length_a 5.8210
_cell_length_b 10.1109
_cell_length_c 13.0218
_cell_angle_alpha 90.00
_cell_angle_beta 90.09
_cell_angle_gamma 90.00
_symmetry_space_group_name_H-M 'C 1 c 1'
_symmetry_Int_Tables_number 9
_symmetry_space_group_name_Hall 'C -2yc'
loop_
_atom_site_label
_atom_site_type_symbol
_atom_site_fract_x
_atom_site_fract_y
_atom_site_fract_z
Na1 Na 0.0000 0.1628 0.0000
Cr1 Cr 0.0001 0.0001 0.2515
Cr2 Cr 0.0001 0.1673 0.5016
Cr3 Cr 0.0024 0.4990 0.1062
Cr4 Cr 0.2501 0.2500 0.2515
Cr5 Cr 0.2501 0.2500 0.7516
Cr6 Cr 0.4978 0.0011 0.3969
O1 O 0.0001 0.3474 0.5016
O2 O 0.0015 0.1664 0.3389
O3 O 0.0086 0.3258 0.1746
O4 O 0.2297 0.4228 0.0007
O5 O 0.2339 0.0831 0.8291
O6 O 0.2361 0.0879 0.1727
O7 O 0.2645 0.4121 0.3307
O8 O 0.2660 0.4169 0.6742
O9 O 0.2706 0.0772 0.5025
O10 O 0.4917 0.1745 0.3288
O11 O 0.4986 0.3337 0.1642
```